The following is a computed powder diffraction line list of B2SbPd8. It was derived from a cell relaxed with GGA-PBE, using Cu Kα (weighted mean of Kα1 and Kα2).
Kinematic intensities with the Lorentz-polarization factor, no thermal factor.

Atomic structure:
Lattice parameters (Å, degrees): 6.337 6.337 4.327 97.35 97.35 111.00
Fractional positions:
B  0.177  0.823  0.000
B  0.823  0.177  0.000
Sb  0.500  0.500  0.500
Pd  0.112  0.112  0.293
Pd  0.167  0.436  0.910
Pd  0.244  0.756  0.500
Pd  0.436  0.167  0.910
Pd  0.564  0.833  0.090
Pd  0.756  0.244  0.500
Pd  0.833  0.564  0.090
Pd  0.888  0.888  0.707

Largest 10 diffraction maxima, by angle, 2θ from 5° to 70°:
29.27°, d 3.051, I = 10; 34.02°, d 2.636, I = 59; 36.93°, d 2.434, I = 65; 40.67°, d 2.218, I = 100; 42.81°, d 2.112, I = 33; 43.24°, d 2.092, I = 44; 46.91°, d 1.937, I = 22; 55.01°, d 1.669, I = 12; 67.18°, d 1.393, I = 15; 67.58°, d 1.386, I = 8



The following is a computed powder diffraction line list of BSbPd4. It was derived from a cell relaxed with GGA-PBE, using Cu Kα (weighted mean of Kα1 and Kα2).
Kinematic intensities with the Lorentz-polarization factor, no thermal factor.

Atomic structure:
Lattice parameters (Å, degrees): 5.663 6.419 6.558 108.48 102.88 110.19
Fractional positions:
B  0.054  0.255  0.474
B  0.946  0.745  0.526
Sb  0.342  0.742  0.099
Sb  0.658  0.258  0.901
Pd  0.090  0.521  0.325
Pd  0.169  0.987  0.883
Pd  0.247  0.021  0.462
Pd  0.451  0.533  0.722
Pd  0.549  0.467  0.278
Pd  0.753  0.979  0.538
Pd  0.831  0.013  0.117
Pd  0.910  0.479  0.675

Largest 10 diffraction maxima, by angle, 2θ from 5° to 70°:
29.71°, d 3.007, I = 43; 32.94°, d 2.719, I = 45; 37.31°, d 2.410, I = 36; 38.15°, d 2.359, I = 100; 38.88°, d 2.316, I = 62; 41.26°, d 2.188, I = 42; 42.58°, d 2.123, I = 46; 46.28°, d 1.962, I = 31; 46.80°, d 1.941, I = 33; 47.01°, d 1.933, I = 40



The following is a computed powder diffraction line list of YB2SbPd. It was derived from a cell relaxed with GGA-PBE, using Cu Kα (weighted mean of Kα1 and Kα2).
Kinematic intensities with the Lorentz-polarization factor, no thermal factor.

Atomic structure:
Lattice parameters (Å, degrees): 4.490 4.490 4.950 90.00 90.00 90.00
Fractional positions:
Y  0.000  0.000  0.000
B  0.000  0.500  0.500
B  0.500  0.000  0.500
Sb  0.500  0.500  0.500
Pd  0.500  0.500  0.000

Largest 10 diffraction maxima, by angle, 2θ from 5° to 70°:
19.77°, d 4.490, I = 49; 26.81°, d 3.326, I = 26; 28.11°, d 3.175, I = 100; 36.30°, d 2.475, I = 31; 40.17°, d 2.245, I = 46; 41.67°, d 2.168, I = 14; 46.53°, d 1.952, I = 50; 55.24°, d 1.663, I = 36; 58.11°, d 1.587, I = 15; 65.78°, d 1.420, I = 18